# 1
Starting from a DFT-relaxed cell (PBE, Alexandria), the powder XRD pattern of PrNdEr2Tm was computed for CuKα.
Peak positions follow from Bragg's law for the DFT cell and can differ from measured ones.

Atomic structure:
```
data_PrNdEr2Tm
_chemical_formula_sum 'Pr4 Nd4 Er8 Tm4'
_symmetry_space_group_name_H-M 'C m c m'
_symmetry_Int_Tables_number 63
_symmetry_space_group_name_Hall '-C 2c 2'
_cell_length_a 6.4089
_cell_length_b 16.7552
_cell_length_c 6.4018
_cell_angle_alpha 90.00
_cell_angle_beta 90.00
_cell_angle_gamma 90.00
loop_
_atom_site_label
_atom_site_type_symbol
_atom_site_fract_x
_atom_site_fract_y
_atom_site_fract_z
Pr1 Pr 0.0000 0.1577 0.2500
Nd1 Nd 0.0000 0.3431 0.2500
Er1 Er 0.2500 0.0000 0.0000
Tm1 Tm 0.0000 0.2497 0.7500
```

Top 10 peaks for 10° ≤ 2θ ≤ 90°, most intense first:
Position (°2θ)  intensity
29.87  100
33.26  40
39.80  38
35.28  22
52.81  22
66.19  21
25.32  19
62.57  19
21.21  14
57.56  13

# 2
Starting from a DFT-relaxed cell (PBE, Alexandria), the powder XRD pattern of PrNdErTm was computed for CuKα.
Peak positions follow from Bragg's law for the DFT cell and can differ from measured ones.

Atomic structure:
```
data_PrNdErTm
_chemical_formula_sum 'Pr3 Nd3 Er3 Tm3'
_symmetry_space_group_name_H-M 'R 3 m'
_symmetry_Int_Tables_number 160
_symmetry_space_group_name_Hall 'R 3 -2"'
_cell_length_a 3.6162
_cell_length_b 3.6162
_cell_length_c 34.9269
_cell_angle_alpha 90.00
_cell_angle_beta 90.00
_cell_angle_gamma 120.00
loop_
_atom_site_label
_atom_site_type_symbol
_atom_site_fract_x
_atom_site_fract_y
_atom_site_fract_z
Pr1 Pr 0.0000 0.0000 0.0000
Nd1 Nd 0.0000 0.0000 0.8336
Er1 Er 0.0000 0.0000 0.5834
Tm1 Tm 0.0000 0.0000 0.4164
```

Top 10 peaks for 10° ≤ 2θ ≤ 90°, most intense first:
Position (°2θ)  intensity
31.30  100
33.79  82
30.72  50
60.26  44
50.47  38
28.97  33
53.33  22
58.19  17
85.69  17
60.60  15